Entry 1:
V6ZnFe4O24: theoretical powder diffraction line list (Cu Kα, 1.54184 Å), based on a structure optimized by DFT (PBE+U).
No peak broadening, texture or thermal motion is included.

Atomic structure:
```
data_V6ZnFe4O24
_cell_length_a 6.748
_cell_length_b 8.320
_cell_length_c 10.003
_cell_angle_alpha 107.20
_cell_angle_beta 105.23
_cell_angle_gamma 103.66
_space_group_name_H-M_alt 'P -1'
_space_group_IT_number 2
loop_
_space_group_symop_operation_xyz
'x,y,z'
'-x,-y,-z'
loop_
_atom_site_label
_atom_site_type_symbol
_atom_site_fract_x
_atom_site_fract_y
_atom_site_fract_z
V1 V 0.109 0.258 0.137
V2 V 0.294 0.338 0.733
V3 V 0.388 0.891 0.661
Zn1 Zn 0.500 0.500 0.500
Fe1 Fe 0.125 0.039 0.394
Fe2 Fe 0.450 0.794 0.988
O1 O 0.043 0.219 0.729
O2 O 0.054 0.109 0.224
O3 O 0.143 0.747 0.973
O4 O 0.160 0.951 0.569
O5 O 0.258 0.196 0.021
O6 O 0.273 0.457 0.283
O7 O 0.289 0.288 0.543
O8 O 0.332 0.559 0.822
O9 O 0.353 0.673 0.583
O10 O 0.382 0.995 0.358
O11 O 0.431 0.942 0.856
O12 O 0.490 0.278 0.841
```

Most intense lines, 2θ from 15° to 90°, by angle:
two_theta	I (rel.)	index
15.27	63.7	1 -1 0
21.88	37.0	1 1 -2
24.61	32.7	-1 1 2
27.19	61.2	2 0 -1
27.47	34.0	2 -1 0
27.73	96.3	0 1 -3
28.11	43.9	1 -2 2
29.22	100.0	0 2 1



Entry 2:
LiV2O3F3: theoretical powder diffraction line list (Cu Kα, 1.54184 Å), based on a structure optimized by DFT (PBE+U).
No peak broadening, texture or thermal motion is included.

Atomic structure:
```
data_LiV2O3F3
_cell_length_a 5.127
_cell_length_b 5.141
_cell_length_c 13.519
_cell_angle_alpha 88.69
_cell_angle_beta 88.21
_cell_angle_gamma 61.56
_space_group_name_H-M_alt 'P 1'
_space_group_IT_number 1
loop_
_space_group_symop_operation_xyz
'x,y,z'
loop_
_atom_site_label
_atom_site_type_symbol
_atom_site_fract_x
_atom_site_fract_y
_atom_site_fract_z
Li1 Li 0.000 0.000 0.000
Li2 Li 0.078 0.944 0.492
Li3 Li 0.381 0.278 0.839
V1 V 0.022 0.946 0.714
V2 V 0.067 0.954 0.210
V3 V 0.356 0.333 0.052
V4 V 0.444 0.281 0.539
V5 V 0.658 0.634 0.864
V6 V 0.728 0.639 0.377
O1 O 0.129 0.220 0.121
O2 O 0.281 0.659 0.133
O3 O 0.378 0.657 0.792
O4 O 0.448 0.565 0.460
O5 O 0.619 0.346 0.959
O6 O 0.657 0.970 0.467
O7 O 0.691 0.235 0.626
O8 O 0.753 0.901 0.797
O9 O 0.954 0.727 0.303
F1 F 0.004 0.287 0.797
F2 F 0.024 0.594 0.961
F3 F 0.047 0.339 0.460
F4 F 0.102 0.637 0.616
F5 F 0.277 0.051 0.619
F6 F 0.366 0.921 0.302
F7 F 0.387 0.973 0.952
F8 F 0.716 0.042 0.125
F9 F 0.783 0.305 0.290
```

Most intense lines, 2θ from 15° to 90°, by angle:
two_theta	I (rel.)	index
23.47	95.7	1 0 2
23.58	98.5	0 1 2
24.46	100.0	1 1 -2
32.89	20.4	1 1 4
33.25	20.0	0 1 -4
48.24	21.6	0 2 4
53.34	24.7	2 1 6
55.15	21.6	2 1 -6



Entry 3:
Li7Mn5O12: theoretical powder diffraction line list (Cu Kα, 1.54184 Å), based on a structure optimized by DFT (PBE+U).
No peak broadening, texture or thermal motion is included.

Atomic structure:
```
data_Li7Mn5O12
_cell_length_a 12.570
_cell_length_b 2.995
_cell_length_c 12.110
_cell_angle_alpha 90.00
_cell_angle_beta 104.24
_cell_angle_gamma 90.00
_space_group_name_H-M_alt 'C 1 2/m 1'
_space_group_IT_number 12
loop_
_space_group_symop_operation_xyz
'x,y,z'
'-x,-y,-z'
'-x,y,-z'
'x,-y,z'
'x+1/2,y+1/2,z'
'-x+1/2,-y+1/2,-z'
'-x+1/2,y+1/2,-z'
'x+1/2,-y+1/2,z'
loop_
_atom_site_label
_atom_site_type_symbol
_atom_site_fract_x
_atom_site_fract_y
_atom_site_fract_z
Li1 Li 0.000 0.000 0.000
Li2 Li 0.001 0.000 0.762
Li3 Li 0.157 0.500 0.914
Li4 Li 0.166 0.500 0.420
Mn1 Mn 0.000 0.000 0.500
Mn2 Mn 0.162 0.500 0.159
Mn3 Mn 0.165 0.500 0.672
O1 O 0.007 0.500 0.624
O2 O 0.013 0.500 0.130
O3 O 0.159 0.000 0.543
O4 O 0.168 0.000 0.058
O5 O 0.173 0.000 0.792
O6 O 0.176 0.000 0.278
```

Most intense lines, 2θ from 15° to 90°, by angle:
two_theta	I (rel.)	index
18.23	100.0	2 0 -2
35.24	28.3	1 1 2
36.42	10.9	4 0 2
42.46	64.2	1 1 -4
44.62	26.9	6 0 0
56.06	9.4	3 1 -6
63.16	15.3	7 1 -4
63.42	15.4	5 1 4



Entry 4:
Tm2WO6: theoretical powder diffraction line list (Cu Kα, 1.54184 Å), based on a structure optimized by DFT (PBE+U).
No peak broadening, texture or thermal motion is included.

Atomic structure:
```
data_Tm2WO6
_cell_length_a 5.219
_cell_length_b 9.048
_cell_length_c 9.890
_cell_angle_alpha 90.00
_cell_angle_beta 90.00
_cell_angle_gamma 90.00
_space_group_name_H-M_alt 'P 21 21 21'
_space_group_IT_number 19
loop_
_space_group_symop_operation_xyz
'x,y,z'
'-x+1/2,-y,z+1/2'
'x+1/2,-y+1/2,-z'
'-x,y+1/2,-z+1/2'
loop_
_atom_site_label
_atom_site_type_symbol
_atom_site_fract_x
_atom_site_fract_y
_atom_site_fract_z
Tm1 Tm 0.019 0.103 0.465
Tm2 Tm 0.039 0.219 0.872
W1 W 0.039 0.495 0.347
O1 O 0.089 0.841 0.030
O2 O 0.176 0.640 0.819
O3 O 0.178 0.953 0.301
O4 O 0.195 0.642 0.234
O5 O 0.235 0.116 0.067
O6 O 0.249 0.590 0.496
```

Most intense lines, 2θ from 15° to 90°, by angle:
two_theta	I (rel.)	index
26.07	34.8	1 2 0
26.72	66.6	1 1 2
27.61	100.0	1 2 1
31.00	28.4	0 3 1
33.65	67.2	1 1 3
34.36	34.7	2 0 0
46.96	29.6	2 3 1
54.47	30.4	1 5 1



Entry 5:
MgFe3OF7: theoretical powder diffraction line list (Cu Kα, 1.54184 Å), based on a structure optimized by DFT (PBE+U).
No peak broadening, texture or thermal motion is included.

Atomic structure:
```
data_MgFe3OF7
_cell_length_a 6.2793
_cell_length_b 6.2793
_cell_length_c 14.2854
_cell_angle_alpha 90.00
_cell_angle_beta 90.00
_cell_angle_gamma 120.00
_space_group_name_H-M_alt 'R 3 m'
_space_group_IT_number 160
_space_group_name_Hall 'R 3 -2"'
loop_
_atom_site_label
_atom_site_type_symbol
_atom_site_fract_x
_atom_site_fract_y
_atom_site_fract_z
Mg1 Mg 0.0000 0.0000 0.0000
Fe1 Fe 0.9995 0.4998 0.8676
O1 O 0.0000 0.0000 0.1367
F1 F 0.0000 0.0000 0.6125
F2 F 0.0000 0.5000 0.6167
F3 F 0.0266 0.5133 0.1322
```

Most intense lines, 2θ from 15° to 90°, by angle:
two_theta	I (rel.)	index
17.45	27.5	1 0 1
18.63	100.0	0 0 3
20.53	32.9	0 1 2
33.55	68.2	0 2 1
41.75	90.2	0 2 4
56.37	24.5	0 2 7
58.82	38.8	2 2 0
62.23	47.1	2 0 8



Entry 6:
CaSi2WO6: theoretical powder diffraction line list (Cu Kα, 1.54184 Å), based on a structure optimized by DFT (PBE+U).
No peak broadening, texture or thermal motion is included.

Atomic structure:
```
data_CaSi2WO6
_cell_length_a 10.698
_cell_length_b 8.903
_cell_length_c 5.120
_cell_angle_alpha 90.00
_cell_angle_beta 102.93
_cell_angle_gamma 90.00
_space_group_name_H-M_alt 'C 1 2/c 1'
_space_group_IT_number 15
loop_
_space_group_symop_operation_xyz
'x,y,z'
'-x,-y,-z'
'-x,y,-z+1/2'
'x,-y,z+1/2'
'x+1/2,y+1/2,z'
'-x+1/2,-y+1/2,-z'
'-x+1/2,y+1/2,-z+1/2'
'x+1/2,-y+1/2,z+1/2'
loop_
_atom_site_label
_atom_site_type_symbol
_atom_site_fract_x
_atom_site_fract_y
_atom_site_fract_z
Ca1 Ca 0.000 0.215 0.250
Si1 Si 0.199 0.095 0.774
W1 W 0.000 0.434 0.750
O1 O 0.132 0.253 0.676
O2 O 0.140 0.028 0.026
O3 O 0.145 0.408 0.152
```

Most intense lines, 2θ from 15° to 90°, by angle:
two_theta	I (rel.)	index
17.01	95.6	2 0 0
27.55	100.0	3 1 0
29.66	85.6	2 2 -1
34.10	57.6	2 2 1
35.26	70.6	1 3 -1
36.00	48.3	0 0 2
41.45	46.8	3 3 -1
46.48	40.6	3 3 1



Entry 7:
KLaEuWO6: theoretical powder diffraction line list (Cu Kα, 1.54184 Å), based on a structure optimized by DFT (PBE+U).
No peak broadening, texture or thermal motion is included.

Atomic structure:
```
data_KLaEuWO6
_cell_length_a 8.540
_cell_length_b 8.540
_cell_length_c 8.540
_cell_angle_alpha 90.00
_cell_angle_beta 90.00
_cell_angle_gamma 90.00
_space_group_name_H-M_alt 'F -4 3 m'
_space_group_IT_number 216
_space_group_name_Hall 'F -4 2 3'
loop_
_atom_site_label
_atom_site_type_symbol
_atom_site_fract_x
_atom_site_fract_y
_atom_site_fract_z
K1 K 0.000 0.000 0.000
La1 La 0.000 0.000 0.500
Eu1 Eu 0.250 0.250 0.250
W1 W 0.250 0.250 0.750
O1 O 0.020 0.250 0.750
```

Most intense lines, 2θ from 15° to 90°, by angle:
two_theta	I (rel.)	index
17.99	10.4	1 1 1
20.80	18.7	2 0 0
29.59	100.0	2 2 0
42.34	29.7	4 0 0
52.50	40.4	4 2 2
61.42	18.4	4 4 0
69.63	18.2	6 2 0
84.99	21.5	6 4 2



Copy entry 7 word for word.
KLaEuWO6: theoretical powder diffraction line list (Cu Kα, 1.54184 Å), based on a structure optimized by DFT (PBE+U).
No peak broadening, texture or thermal motion is included.

Atomic structure:
```
data_KLaEuWO6
_cell_length_a 8.540
_cell_length_b 8.540
_cell_length_c 8.540
_cell_angle_alpha 90.00
_cell_angle_beta 90.00
_cell_angle_gamma 90.00
_space_group_name_H-M_alt 'F -4 3 m'
_space_group_IT_number 216
_space_group_name_Hall 'F -4 2 3'
loop_
_atom_site_label
_atom_site_type_symbol
_atom_site_fract_x
_atom_site_fract_y
_atom_site_fract_z
K1 K 0.000 0.000 0.000
La1 La 0.000 0.000 0.500
Eu1 Eu 0.250 0.250 0.250
W1 W 0.250 0.250 0.750
O1 O 0.020 0.250 0.750
```

Most intense lines, 2θ from 15° to 90°, by angle:
two_theta	I (rel.)	index
17.99	10.4	1 1 1
20.80	18.7	2 0 0
29.59	100.0	2 2 0
42.34	29.7	4 0 0
52.50	40.4	4 2 2
61.42	18.4	4 4 0
69.63	18.2	6 2 0
84.99	21.5	6 4 2